Starting from a crystal structure in the Materials Project, relaxed with PBE, the powder XRD pattern of GdMg16Al12 was calculated for Cu Kα X-rays.

The 10 most intense peaks (2θ from 10° to 90°), sorted by position:
2θ (°), I/Imax, index
11.7, 74, 1 1 0
12.1, 42, 1 0 1
16.8, 28, 0 2 1
20.5, 31, 2 1 1
35.5, 58, 3 3 0
35.6, 30, 0 5 1
36.1, 99, 2 3 2
36.8, 100, 0 3 3
39.5, 50, 5 1 1
64.6, 30, 3 6 3

Atomic structure:
```
data_GdMg16Al12
_symmetry_space_group_name_H-M 'R 3 m'
_symmetry_Int_Tables_number 160
_symmetry_space_group_name_Hall 'R 3 -2"'
_cell_length_a 15.1878
_cell_length_b 15.1878
_cell_length_c 8.8099
_cell_angle_alpha 90.00
_cell_angle_beta 90.00
_cell_angle_gamma 120.00
loop_
_atom_site_label
_atom_site_type_symbol
_atom_site_fract_x
_atom_site_fract_y
_atom_site_fract_z
Gd1 Gd 0.0000 0.0000 0.0000
Mg1 Mg 0.0000 0.0000 0.6218
Mg2 Mg 0.0325 0.3598 0.9862
Mg3 Mg 0.1068 0.5534 0.1730
Mg4 Mg 0.1102 0.2203 0.1259
Mg5 Mg 0.2000 0.3999 0.7399
Al1 Al 0.0008 0.1807 0.8080
Al2 Al 0.1202 0.0601 0.3147
Al3 Al 0.2125 0.4250 0.2233
```